(1)
Computed X-ray powder pattern
Compound: Y3Co2Ni7
Radiation: a wavelength of 1.5418 Å
Structure: a cell relaxed with GGA-PBE
Kinematic intensities with the Lorentz-polarization factor, no thermal factor.

Structure:
Cell lengths 8.6491, 8.6491, 8.6491 Å; angles 33.42, 33.42, 33.42 degrees
Fractional positions:
1 Y 0.0000 0.0000 0.0000
2 Y 0.1385 0.1385 0.1385
3 Y 0.8615 0.8615 0.8615
4 Co 0.3328 0.3328 0.3328
5 Co 0.6672 0.6672 0.6672
6 Ni 0.0810 0.5811 0.5811
7 Ni 0.4189 0.4189 0.9190
8 Ni 0.4189 0.9190 0.4189
9 Ni 0.5000 0.5000 0.5000
10 Ni 0.5811 0.0810 0.5811
11 Ni 0.5811 0.5811 0.0810
12 Ni 0.9190 0.4189 0.4189

Top 10 peaks for 5° ≤ 2θ ≤ 70°, in order of rising 2θ:
two_theta	Rel. int.
33.0	30
36.0	31
36.1	35
42.1	37
42.6	100
44.4	19
45.9	16
46.0	28
64.9	16
69.4	22



(2)
Computed X-ray powder pattern
Compound: ZnCoNi
Radiation: a wavelength of 1.5418 Å
Structure: a cell relaxed with GGA-PBE
Kinematic intensities with the Lorentz-polarization factor, no thermal factor.

Structure:
Cell lengths 4.4278, 4.4278, 4.4278 Å; angles 146.53, 131.99, 59.79 degrees
Fractional positions:
1 Zn 0.0000 0.0000 0.0000
2 Co 0.6706 0.6706 0.0000
3 Ni 0.3307 0.3307 0.0000

Top 5 peaks for 5° ≤ 2θ ≤ 70°, in order of rising 2θ:
two_theta	Rel. int.
27.3	1
43.4	100
43.5	100
50.5	62
50.7	31



(3)
Computed X-ray powder pattern
Compound: ZnCo2Ni6
Radiation: a wavelength of 1.5418 Å
Structure: a cell relaxed with GGA-PBE
Kinematic intensities with the Lorentz-polarization factor, no thermal factor.

Structure:
Cell lengths 6.8004, 6.8004, 4.6597 Å; angles 96.64, 96.64, 102.02 degrees
Fractional positions:
1 Zn 0.0839 0.9161 0.7500
2 Zn 0.9161 0.0839 0.2500
3 Co 0.3603 0.3841 0.6161
4 Co 0.3841 0.3603 0.1161
5 Co 0.6159 0.6397 0.8839
6 Co 0.6397 0.6159 0.3839
7 Ni 0.0385 0.2688 0.7883
8 Ni 0.0826 0.4333 0.3049
9 Ni 0.2600 0.6518 0.9834
10 Ni 0.2688 0.0385 0.2883
11 Ni 0.3482 0.7400 0.5166
12 Ni 0.4333 0.0826 0.8049
13 Ni 0.5667 0.9174 0.1951
14 Ni 0.6518 0.2600 0.4834
15 Ni 0.7312 0.9615 0.7117
16 Ni 0.7400 0.3482 0.0166
17 Ni 0.9174 0.5667 0.6951
18 Ni 0.9615 0.7312 0.2117

Top 10 peaks for 5° ≤ 2θ ≤ 70°, in order of rising 2θ:
two_theta	Rel. int.
41.1	35
41.6	52
43.1	35
43.7	18
44.2	69
44.8	59
46.5	25
46.9	100
47.4	65
48.6	25



(4)
Computed X-ray powder pattern
Compound: Zn2CoNi9
Radiation: a wavelength of 1.5418 Å
Structure: a cell relaxed with GGA-PBE
Kinematic intensities with the Lorentz-polarization factor, no thermal factor.

Structure:
Cell lengths 3.5580, 3.5580, 10.6750 Å; angles 90.00, 90.00, 90.00 degrees
Fractional positions:
1 Zn 0.0000 0.0000 0.1680
2 Zn 0.0000 0.0000 0.8320
3 Co 0.0000 0.0000 0.5000
4 Ni 0.0000 0.5000 0.0000
5 Ni 0.0000 0.5000 0.3394
6 Ni 0.0000 0.5000 0.6606
7 Ni 0.5000 0.0000 0.0000
8 Ni 0.5000 0.0000 0.3394
9 Ni 0.5000 0.0000 0.6606
10 Ni 0.5000 0.5000 0.1688
11 Ni 0.5000 0.5000 0.5000
12 Ni 0.5000 0.5000 0.8312

Top 2 peaks for 5° ≤ 2θ ≤ 70°, in order of rising 2θ:
two_theta	Rel. int.
44.1	100
51.4	46



(5)
Computed X-ray powder pattern
Compound: Zn6CoNi
Radiation: a wavelength of 1.5418 Å
Structure: a cell relaxed with GGA-PBE
Kinematic intensities with the Lorentz-polarization factor, no thermal factor.

Structure:
Cell lengths 6.5015, 6.0506, 4.5232 Å; angles 74.31, 63.64, 42.05 degrees
Fractional positions:
1 Zn 0.1157 0.1157 0.3843
2 Zn 0.2467 0.2467 0.7533
3 Zn 0.3843 0.3843 0.1157
4 Zn 0.6157 0.6157 0.8843
5 Zn 0.7533 0.7533 0.2467
6 Zn 0.8843 0.8843 0.6157
7 Co 0.0000 0.0000 0.0000
8 Ni 0.5000 0.5000 0.5000

Top 10 peaks for 5° ≤ 2θ ≤ 70°, in order of rising 2θ:
two_theta	Rel. int.
29.7	2
37.0	1
41.6	100
41.7	96
47.4	65
50.5	28
50.7	1
67.5	2
69.1	10
69.6	9



(6)
Computed X-ray powder pattern
Compound: ZnCoNi
Radiation: a wavelength of 1.5418 Å
Structure: a cell relaxed with GGA-PBE
Kinematic intensities with the Lorentz-polarization factor, no thermal factor.

Structure:
Cell lengths 6.4564, 6.4564, 4.3011 Å; angles 93.55, 93.55, 23.16 degrees
Fractional positions:
1 Zn 0.0000 0.0000 0.0000
2 Zn 0.1665 0.1665 0.4321
3 Co 0.3306 0.3306 0.8172
4 Co 0.8355 0.8355 0.3162
5 Ni 0.4956 0.4956 0.5052
6 Ni 0.6703 0.6703 0.9310

Top 10 peaks for 5° ≤ 2θ ≤ 70°, in order of rising 2θ:
two_theta	Rel. int.
41.1	26
41.6	11
42.1	29
43.0	76
45.5	33
45.6	100
46.9	94
49.8	27
56.1	9
59.6	9



(7)
Computed X-ray powder pattern
Compound: ZnCoNi
Radiation: a wavelength of 1.5418 Å
Structure: a cell relaxed with GGA-PBE
Kinematic intensities with the Lorentz-polarization factor, no thermal factor.

Structure:
Cell lengths 4.2013, 4.4090, 4.4090 Å; angles 120.28, 90.00, 90.00 degrees
Fractional positions:
1 Zn 0.0000 0.1658 0.8342
2 Zn 0.0000 0.8342 0.1658
3 Co 0.5000 0.4897 0.8155
4 Co 0.5000 0.8155 0.4897
5 Ni 0.0000 0.5013 0.5013
6 Ni 0.5000 0.1643 0.1643

Top 8 peaks for 5° ≤ 2θ ≤ 70°, in order of rising 2θ:
two_theta	Rel. int.
31.7	1
40.9	21
41.1	14
43.1	41
46.5	100
46.7	44
60.9	12
61.1	8



(8)
Computed X-ray powder pattern
Compound: Zr2Co3Ni
Radiation: a wavelength of 1.5418 Å
Structure: a cell relaxed with GGA-PBE
Kinematic intensities with the Lorentz-polarization factor, no thermal factor.

Structure:
Cell lengths 4.8937, 4.8937, 4.8937 Å; angles 60.20, 60.20, 60.20 degrees
Fractional positions:
1 Zr 0.1241 0.1241 0.1241
2 Zr 0.8759 0.8759 0.8759
3 Co 0.0000 0.5000 0.5000
4 Co 0.5000 0.0000 0.5000
5 Co 0.5000 0.5000 0.0000
6 Ni 0.5000 0.5000 0.5000

Top 9 peaks for 5° ≤ 2θ ≤ 70°, in order of rising 2θ:
two_theta	Rel. int.
36.6	30
36.7	27
43.3	100
43.4	35
45.3	28
45.5	9
52.8	1
66.0	14
66.2	5



(9)
Computed X-ray powder pattern
Compound: Zr8Co2Ni
Radiation: a wavelength of 1.5418 Å
Structure: a cell relaxed with GGA-PBE
Kinematic intensities with the Lorentz-polarization factor, no thermal factor.

Structure:
Cell lengths 8.6366, 8.6366, 5.9853 Å; angles 109.55, 109.55, 31.28 degrees
Fractional positions:
1 Zr 0.0294 0.0294 0.2774
2 Zr 0.2013 0.2013 0.8441
3 Zr 0.3250 0.3250 0.4909
4 Zr 0.4087 0.4087 0.0297
5 Zr 0.5913 0.5913 0.9703
6 Zr 0.6750 0.6750 0.5091
7 Zr 0.7987 0.7987 0.1559
8 Zr 0.9706 0.9706 0.7226
9 Co 0.1686 0.1686 0.2377
10 Co 0.8314 0.8314 0.7623
11 Ni 0.5000 0.5000 0.5000

Top 10 peaks for 5° ≤ 2θ ≤ 70°, in order of rising 2θ:
two_theta	Rel. int.
32.5	18
33.4	48
33.6	64
34.6	29
36.1	100
36.2	21
38.7	75
39.6	27
42.4	24
65.8	19



(10)
Computed X-ray powder pattern
Compound: ZrCoNi3
Radiation: a wavelength of 1.5418 Å
Structure: a cell relaxed with GGA-PBE
Kinematic intensities with the Lorentz-polarization factor, no thermal factor.

Structure:
Cell lengths 5.7983, 5.7983, 4.7527 Å; angles 90.00, 90.00, 120.00 degrees
Fractional positions:
1 Zr 0.3333 0.6667 0.2500
2 Zr 0.6667 0.3333 0.7500
3 Co 0.0000 0.0000 0.0000
4 Co 0.0000 0.0000 0.5000
5 Ni 0.1992 0.3984 0.7500
6 Ni 0.1992 0.8008 0.7500
7 Ni 0.3984 0.1992 0.2500
8 Ni 0.6016 0.8008 0.7500
9 Ni 0.8008 0.1992 0.2500
10 Ni 0.8008 0.6016 0.2500

Top 10 peaks for 5° ≤ 2θ ≤ 70°, in order of rising 2θ:
two_theta	Rel. int.
30.8	29
35.8	7
37.9	22
40.6	100
42.1	27
47.9	18
51.9	13
53.1	34
58.5	12
64.3	17



(11)
Computed X-ray powder pattern
Compound: Zr6Co2Ni
Radiation: a wavelength of 1.5418 Å
Structure: a cell relaxed with GGA-PBE
Kinematic intensities with the Lorentz-polarization factor, no thermal factor.

Structure:
Cell lengths 7.6373, 7.6373, 7.6373 Å; angles 111.53, 110.47, 106.47 degrees
Fractional positions:
1 Zr 0.0466 0.2379 0.8086
2 Zr 0.1811 0.2868 0.4679
3 Zr 0.1811 0.7132 0.8942
4 Zr 0.3275 0.0286 0.7011
5 Zr 0.3275 0.6263 0.2989
6 Zr 0.4293 0.2379 0.1914
7 Zr 0.5707 0.7621 0.8086
8 Zr 0.6725 0.3737 0.7011
9 Zr 0.6725 0.9714 0.2989
10 Zr 0.8189 0.2868 0.1058
11 Zr 0.8189 0.7132 0.5321
12 Zr 0.9534 0.7621 0.1914
13 Co 0.1335 0.6335 0.5000
14 Co 0.3463 0.0000 0.3463
15 Co 0.6537 0.0000 0.6537
16 Co 0.8665 0.3665 0.5000
17 Ni 0.0000 0.0000 0.0000
18 Ni 0.5000 0.5000 0.0000

Top 10 peaks for 5° ≤ 2θ ≤ 70°, in order of rising 2θ:
two_theta	Rel. int.
32.9	25
35.3	100
37.6	65
38.2	81
38.7	59
38.9	27
42.1	34
43.4	23
44.8	21
66.4	35



(12)
Computed X-ray powder pattern
Compound: NpCo12
Radiation: a wavelength of 1.5418 Å
Structure: a cell relaxed with GGA-PBE
Kinematic intensities with the Lorentz-polarization factor, no thermal factor.

Structure:
Cell lengths 6.2469, 6.2469, 6.2469 Å; angles 98.03, 98.03, 136.10 degrees
Fractional positions:
1 Np 0.0000 0.0000 0.0000
2 Co 0.0000 0.0000 0.5000
3 Co 0.0000 0.3549 0.3549
4 Co 0.0000 0.5000 0.0000
5 Co 0.0000 0.6451 0.6451
6 Co 0.2777 0.5000 0.7777
7 Co 0.3549 0.0000 0.3549
8 Co 0.5000 0.0000 0.0000
9 Co 0.5000 0.2777 0.7777
10 Co 0.5000 0.5000 0.5000
11 Co 0.5000 0.7223 0.2223
12 Co 0.6451 0.0000 0.6451
13 Co 0.7223 0.5000 0.2223

Top 10 peaks for 5° ≤ 2θ ≤ 70°, in order of rising 2θ:
two_theta	Rel. int.
15.3	20
21.9	22
31.0	53
34.6	22
38.2	52
38.6	18
44.2	53
44.3	100
44.7	68
64.4	15



(13)
Computed X-ray powder pattern
Compound: Np2Co17
Radiation: a wavelength of 1.5418 Å
Structure: a cell relaxed with GGA-PBE
Kinematic intensities with the Lorentz-polarization factor, no thermal factor.

Structure:
Cell lengths 6.2232, 6.2232, 6.2232 Å; angles 82.96, 82.96, 82.96 degrees
Fractional positions:
1 Np 0.1592 0.1592 0.1592
2 Np 0.8408 0.8408 0.8408
3 Co 0.0000 0.5000 0.5000
4 Co 0.1504 0.1504 0.6516
5 Co 0.1504 0.6516 0.1504
6 Co 0.2079 0.5000 0.7921
7 Co 0.2079 0.7921 0.5000
8 Co 0.3484 0.8496 0.8496
9 Co 0.4002 0.4002 0.4002
10 Co 0.5000 0.0000 0.5000
11 Co 0.5000 0.2079 0.7921
12 Co 0.5000 0.5000 0.0000
13 Co 0.5000 0.7921 0.2079
14 Co 0.5998 0.5998 0.5998
15 Co 0.6516 0.1504 0.1504
16 Co 0.7921 0.2079 0.5000
17 Co 0.7921 0.5000 0.2079
18 Co 0.8496 0.3484 0.8496
19 Co 0.8496 0.8496 0.3484

Top 10 peaks for 5° ≤ 2θ ≤ 70°, in order of rising 2θ:
two_theta	Rel. int.
21.6	19
31.1	59
37.8	48
39.2	32
43.9	62
44.3	100
45.2	48
45.5	15
64.1	22
64.9	28